Theoretical X-ray powder pattern
Compound: HfNb2ZnF
Radiation: Cu Kα (λ = 1.5418 Å)
Structure: a PBE-relaxed structure
Neutral-atom scattering factors, no anomalous dispersion.

Atomic structure:
```
HfNb2ZnF
1.0
4.244 0.000 0.000
0.000 4.244 0.000
0.000 0.000 4.726
Hf Nb Zn F
1 2 1 1
Direct
0.000 0.000 0.000
0.000 0.500 0.500
0.500 0.000 0.500
0.500 0.500 0.000
0.500 0.500 0.500
```

Principal peaks in the range 2θ = 5–70°, by angle:
index	two_theta	d/Å	I/Imax
1 0 0	20.93	4.244	7
1 0 1	28.26	3.158	16
1 1 0	29.77	3.001	3
1 1 1	35.43	2.533	100
0 0 2	38.08	2.363	25
2 0 0	42.61	2.122	36
2 1 1	51.92	1.761	6
2 0 2	58.46	1.579	27
2 2 0	61.84	1.500	11
1 1 3	67.10	1.395	15